Entry 1:
Simulated powder diffraction line list
Compound: Sr4MgMn2Ga2O11
Radiation: CuKα
Structure: DFT lattice parameters and positions (PBE+U)

Top 10 peaks for 2θ from 5° to 70°, by intensity:
2theta, Rel. int., index
30.5, 100, 2 2 -1
31.0, 88, 0 2 2
31.7, 76, 2 0 1
55.4, 38, 4 2 0
42.5, 38, 0 4 0
54.0, 37, 2 4 1
46.3, 26, 0 0 4
38.3, 22, 2 2 -3
44.7, 19, 4 0 -2
56.4, 16, 2 2 3

Lattice parameters (Å, degrees): 8.1119 8.4996 8.8309 90.00 117.29 90.00
Space group C2 (No. 5)
Asymmetric unit:
Sr 0.1358 0.0000 0.2712 (multiplicity 4)
Sr 0.1505 0.4844 0.3008 (multiplicity 4)
Mg 0.0000 0.3068 0.0000 (multiplicity 2)
Mn 0.0000 0.2414 0.5000 (multiplicity 2)
Mn 0.0000 0.7417 0.5000 (multiplicity 2)
Ga 0.1921 0.7146 0.0006 (multiplicity 4)
O 0.0000 0.4950 0.5000 (multiplicity 2)
O 0.0000 0.8394 0.0000 (multiplicity 2)
O 0.0000 0.9895 0.5000 (multiplicity 2)
O 0.0788 0.2360 0.8037 (multiplicity 4)
O 0.1442 0.5035 0.9998 (multiplicity 4)
O 0.2285 0.7357 0.8066 (multiplicity 4)
O 0.2300 0.7461 0.4611 (multiplicity 4)



Entry 2:
Simulated powder diffraction line list
Compound: K4MgV6O16
Radiation: CuKα
Structure: DFT lattice parameters and positions (PBE+U)

Top 10 peaks for 2θ from 5° to 70°, by intensity:
2theta, Rel. int., index
27.0, 100, 2 1 1
14.9, 36, 0 0 1
31.8, 35, 1 3 0
22.4, 20, 1 2 0
30.1, 17, 0 0 2
44.4, 15, 1 3 2
51.6, 14, 2 1 3
45.6, 14, 4 2 0
25.0, 12, 2 0 1
35.3, 12, 3 1 1

Lattice parameters (Å, degrees): 8.8891 8.8891 5.9383 90.00 90.00 90.00
Space group P4 (No. 75)
Asymmetric unit:
K 0.1268 0.2967 0.0000 (multiplicity 4)
Mg 0.5000 0.5000 0.1706 (multiplicity 1)
V 0.0000 0.0000 0.4645 (multiplicity 1)
V 0.1390 0.6343 0.4767 (multiplicity 4)
V 0.5000 0.5000 0.5679 (multiplicity 1)
O 0.0000 0.0000 0.7455 (multiplicity 1)
O 0.0000 0.5000 0.3680 (multiplicity 2)
O 0.0938 0.8104 0.3553 (multiplicity 4)
O 0.1337 0.6378 0.7597 (multiplicity 4)
O 0.3211 0.5815 0.3785 (multiplicity 4)
O 0.5000 0.5000 0.8645 (multiplicity 1)



Entry 3:
Simulated powder diffraction line list
Compound: MgV6H6O18
Radiation: CuKα
Structure: DFT lattice parameters and positions (PBE+U)

Top 10 peaks for 2θ from 5° to 70°, by intensity:
2theta, Rel. int., index
11.6, 100, 0 1 0
26.1, 35, 1 -1 2
25.9, 22, -1 1 2
24.1, 20, 1 1 0
26.2, 19, 1 -2 1
15.0, 17, 0 1 1
17.8, 14, 1 -1 0
25.3, 12, 0 2 1
45.8, 11, 1 -2 4
33.8, 11, 2 -1 0

Lattice parameters (Å, degrees): 5.3105 8.0292 9.4379 90.23 90.66 108.59
Space group P1 (No. 1)
Asymmetric unit:
Mg 0.0000 0.0000 0.0000 (multiplicity 1)
V 0.0018 0.3317 0.6784 (multiplicity 1)
V 0.2947 0.4141 0.1718 (multiplicity 1)
V 0.4508 0.1942 0.4921 (multiplicity 1)
V 0.4507 0.2115 0.8522 (multiplicity 1)
V 0.8313 0.5302 0.3569 (multiplicity 1)
V 0.8356 0.5543 0.9905 (multiplicity 1)
H 0.4840 0.6781 0.6756 (multiplicity 1)
H 0.5184 0.9498 0.3400 (multiplicity 1)
H 0.5432 0.9618 0.0939 (multiplicity 1)
H 0.7568 0.7583 0.5796 (multiplicity 1)
H 0.7630 0.7694 0.7628 (multiplicity 1)
H 0.7849 0.0652 0.1909 (multiplicity 1)
O 0.0747 0.2115 0.1380 (multiplicity 1)
O 0.1059 0.1777 0.8218 (multiplicity 1)
O 0.1427 0.1961 0.5371 (multiplicity 1)
O 0.1459 0.5567 0.0426 (multiplicity 1)
O 0.1479 0.5280 0.3159 (multiplicity 1)
O 0.2552 0.5160 0.6847 (multiplicity 1)
O 0.4099 0.0344 0.9590 (multiplicity 1)
O 0.4131 0.9887 0.4111 (multiplicity 1)
O 0.4896 0.3791 0.9994 (multiplicity 1)
O 0.4967 0.3356 0.3266 (multiplicity 1)
O 0.5500 0.1441 0.6797 (multiplicity 1)
O 0.6627 0.7796 0.6717 (multiplicity 1)
O 0.6823 0.9441 0.1591 (multiplicity 1)
O 0.7164 0.5845 0.1750 (multiplicity 1)
O 0.7806 0.3766 0.5210 (multiplicity 1)
O 0.7928 0.3999 0.8288 (multiplicity 1)
O 0.8472 0.7129 0.4445 (multiplicity 1)
O 0.8626 0.7575 0.9174 (multiplicity 1)



Entry 4:
Simulated powder diffraction line list
Compound: Li2FeB2O6
Radiation: CuKα
Structure: DFT lattice parameters and positions (PBE+U)

Top 10 peaks for 2θ from 5° to 70°, by intensity:
2theta, Rel. int., index
18.7, 100, 1 0 0
20.3, 86, 0 1 2
35.8, 76, 0 0 4
19.7, 61, 0 2 0
34.5, 57, 1 3 -1
25.9, 37, 1 1 1
19.6, 29, 1 1 -1
27.1, 25, 1 1 -3
31.1, 24, 0 3 1
53.9, 23, 3 1 -2

Lattice parameters (Å, degrees): 5.2401 8.9977 11.0921 90.00 115.20 90.00
Space group P2_1/c (No. 14)
Asymmetric unit:
Li 0.0492 0.1648 0.3700 (multiplicity 4)
Li 0.4445 0.5096 0.1132 (multiplicity 4)
Fe 0.4778 0.1734 0.1271 (multiplicity 4)
B 0.0507 0.6692 0.8809 (multiplicity 4)
B 0.4660 0.6617 0.6305 (multiplicity 4)
O 0.1257 0.7018 0.3355 (multiplicity 4)
O 0.1896 0.1727 0.5965 (multiplicity 4)
O 0.2100 0.5444 0.9052 (multiplicity 4)
O 0.3651 0.1850 0.9349 (multiplicity 4)
O 0.3757 0.7114 0.1729 (multiplicity 4)
O 0.3957 0.5241 0.6576 (multiplicity 4)



Entry 5:
Simulated powder diffraction line list
Compound: Li9Mn2Co5O16
Radiation: CuKα
Structure: DFT lattice parameters and positions (PBE+U)

Top 10 peaks for 2θ from 5° to 70°, by intensity:
2theta, Rel. int., index
18.3, 100, 0 2 1
41.2, 34, 1 3 0
44.1, 27, 1 -3 1
45.0, 25, 0 2 5
34.3, 20, 1 1 -1
62.6, 16, 1 5 5
36.3, 13, 1 -1 2
36.9, 11, 0 0 4
64.1, 9, -1 5 4
61.7, 8, 2 0 1

Lattice parameters (Å, degrees): 3.0119 9.8989 10.2418 73.25 82.90 86.87
Space group P1 (No. 1)
Asymmetric unit:
Li 0.0000 0.0000 0.0000 (multiplicity 1)
Li 0.0585 0.3082 0.8719 (multiplicity 1)
Li 0.1186 0.6180 0.7425 (multiplicity 1)
Li 0.2407 0.2474 0.4979 (multiplicity 1)
Li 0.3769 0.8711 0.2446 (multiplicity 1)
Li 0.4941 0.4914 0.9959 (multiplicity 1)
Li 0.6238 0.1264 0.7469 (multiplicity 1)
Li 0.7419 0.7475 0.4985 (multiplicity 1)
Li 0.8750 0.3685 0.2438 (multiplicity 1)
Mn 0.3073 0.5589 0.3730 (multiplicity 1)
Mn 0.5598 0.8091 0.8709 (multiplicity 1)
Co 0.1929 0.9363 0.6185 (multiplicity 1)
Co 0.4373 0.1905 0.1123 (multiplicity 1)
Co 0.6694 0.4275 0.6325 (multiplicity 1)
Co 0.8151 0.0577 0.3696 (multiplicity 1)
Co 0.9343 0.6824 0.1213 (multiplicity 1)
O 0.1217 0.9618 0.8014 (multiplicity 1)
O 0.1277 0.2896 0.6801 (multiplicity 1)
O 0.2380 0.5806 0.5561 (multiplicity 1)
O 0.2953 0.9117 0.4390 (multiplicity 1)
O 0.3328 0.2066 0.2971 (multiplicity 1)
O 0.3728 0.5367 0.1877 (multiplicity 1)
O 0.4945 0.8291 0.0566 (multiplicity 1)
O 0.5125 0.1515 0.9548 (multiplicity 1)
O 0.6054 0.4653 0.7893 (multiplicity 1)
O 0.6281 0.7900 0.6846 (multiplicity 1)
O 0.7431 0.4086 0.4461 (multiplicity 1)
O 0.7543 0.0825 0.5518 (multiplicity 1)
O 0.8670 0.0365 0.1891 (multiplicity 1)
O 0.8714 0.7104 0.3023 (multiplicity 1)
O 0.9814 0.3277 0.0627 (multiplicity 1)
O 0.9951 0.6575 0.9392 (multiplicity 1)



Entry 6:
Simulated powder diffraction line list
Compound: VF5
Radiation: CuKα
Structure: DFT lattice parameters and positions (PBE+U)

Top 10 peaks for 2θ from 5° to 70°, by intensity:
2theta, Rel. int., index
17.1, 100, 1 0 -2
20.9, 91, 1 1 -2
18.0, 77, 1 1 0
22.4, 70, 1 1 2
24.5, 56, 0 2 1
18.5, 50, 1 1 -1
26.5, 49, 1 1 3
24.0, 42, 0 0 4
27.8, 42, 1 2 -1
13.6, 39, 1 0 0

Lattice parameters (Å, degrees): 6.5678 7.4996 14.8973 90.00 95.90 90.00
Space group P2_1/c (No. 14)
Asymmetric unit:
V 0.0009 0.1266 0.1538 (multiplicity 4)
V 0.3296 0.1873 0.3762 (multiplicity 4)
F 0.1124 0.1178 0.8521 (multiplicity 4)
F 0.1156 0.1636 0.6604 (multiplicity 4)
F 0.1405 0.0899 0.4374 (multiplicity 4)
F 0.1601 0.6806 0.4426 (multiplicity 4)
F 0.1779 0.6658 0.2678 (multiplicity 4)
F 0.1849 0.0695 0.2701 (multiplicity 4)
F 0.2016 0.0256 0.1020 (multiplicity 4)
F 0.4358 0.1856 0.9672 (multiplicity 4)
F 0.4566 0.1940 0.7961 (multiplicity 4)
F 0.4989 0.5101 0.1092 (multiplicity 4)



Entry 7:
Simulated powder diffraction line list
Compound: RbW3O9
Radiation: CuKα
Structure: DFT lattice parameters and positions (PBE+U)

Top 10 peaks for 2θ from 5° to 70°, by intensity:
2theta, Rel. int., index
27.3, 100, 0 0 2
26.7, 36, 1 2 0
22.9, 33, 0 2 0
35.9, 32, 0 2 2
55.0, 29, 0 4 2
33.1, 21, 1 2 -2
13.6, 20, 1 0 0
48.3, 17, 2 0 -4
46.7, 11, 0 4 0
69.5, 11, 2 4 -4

Lattice parameters (Å, degrees): 7.5288 7.7801 7.5312 90.00 119.82 90.00
Space group P2 (No. 3)
Asymmetric unit:
Rb 0.0000 0.0000 0.0000 (multiplicity 1)
Rb 0.0000 0.4979 0.0000 (multiplicity 1)
W 0.0000 0.2504 0.5000 (multiplicity 1)
W 0.0000 0.7504 0.5000 (multiplicity 1)
W 0.5000 0.2504 0.0000 (multiplicity 1)
W 0.5000 0.2504 0.5000 (multiplicity 1)
W 0.5000 0.7504 0.0000 (multiplicity 1)
W 0.5000 0.7504 0.5000 (multiplicity 1)
O 0.0000 0.5067 0.5000 (multiplicity 1)
O 0.0000 0.9941 0.5000 (multiplicity 1)
O 0.2112 0.2505 0.4218 (multiplicity 2)
O 0.2114 0.7504 0.4209 (multiplicity 2)
O 0.2119 0.7505 0.7918 (multiplicity 2)
O 0.2156 0.2504 0.7966 (multiplicity 2)
O 0.4212 0.2504 0.2118 (multiplicity 2)
O 0.4213 0.7505 0.2112 (multiplicity 2)
O 0.5000 0.0001 0.5000 (multiplicity 1)
O 0.5000 0.5008 0.5000 (multiplicity 1)
O 0.5000 0.5023 0.0000 (multiplicity 1)
O 0.5000 0.9986 0.0000 (multiplicity 1)